1.
The following is a computed powder diffraction line list of AcScAg2S4. It was derived from a GGA-PBE-relaxed structure, using Cu Kα (weighted mean of Kα1 and Kα2).

Crystal structure
Cell lengths 6.2866, 6.2866, 6.2866 Å; angles 115.10, 111.42, 102.16 degrees
Atoms (fractional coordinates):
Ac  0.0000  0.0000  0.0000
Sc  0.5000  0.5000  0.0000
Ag  0.3170  0.8170  0.5000
Ag  0.6830  0.1830  0.5000
S  0.1141  0.1179  0.5903
S  0.4724  0.8821  0.9962
S  0.5276  0.5238  0.4097
S  0.8859  0.4762  0.0038

Most intense lines, 10 to 90 degrees two-theta, low angle first:
two_theta  d/Å  I (rel.)
17.3  5.130  59
25.1  3.542  28
26.4  3.373  25
29.1  3.071  100
30.7  2.915  41
36.4  2.468  28
36.8  2.443  51
45.5  1.992  22
46.8  1.941  29
48.3  1.884  26

---

2.
The following is a computed powder diffraction line list of ScTcW. It was derived from a GGA-PBE-relaxed structure, using Cu Kα (weighted mean of Kα1 and Kα2).

Crystal structure
Cell lengths 5.3129, 5.3129, 5.3129 Å; angles 119.55, 119.29, 91.01 degrees
Atoms (fractional coordinates):
Sc  0.3730  0.1230  0.2500
Sc  0.6270  0.8770  0.7500
Tc  0.0000  0.0000  0.5000
Tc  0.0000  0.5000  0.0000
W  0.0000  0.5000  0.5000
W  0.5000  0.5000  0.0000

Most intense lines, 10 to 90 degrees two-theta, low angle first:
two_theta  d/Å  I (rel.)
20.4  4.346  100
39.5  2.283  88
40.0  2.252  42
41.5  2.178  48
41.6  2.172  49
48.0  1.895  23
53.1  1.725  17
63.9  1.457  15
71.0  1.328  26
84.9  1.142  16